Entry 1:
# LiAgHgSb
Theoretical powder diffractogram, copper Kα. Input: DFT lattice parameters and positions (PBE).
Neutral-atom scattering factors, no anomalous dispersion.

Structure:
```
LiAgHgSb
1.0
4.7382 -2.1380 0.0000
4.7382 2.1380 0.0000
-1.6332 0.0000 4.1725
Li Ag Hg Sb
1 1 1 1
direct
0.0000 0.0000 0.0000
0.7601 0.7601 0.2813
0.2527 0.2527 0.8005
0.5017 0.5017 0.4921
```

The 10 most intense peaks (2θ from 5° to 70°), low angle first:
2theta  d/Å  I_rel
20.1  4.412  33
23.1  3.848  28
23.4  3.801  24
29.0  3.083  31
34.1  2.628  100
36.9  2.437  81
40.5  2.225  29
40.9  2.206  31
42.3  2.138  28
60.3  1.535  19



Entry 2:
# Li4Tl2Ag3Hg2
Theoretical powder diffractogram, copper Kα. Input: DFT lattice parameters and positions (PBE).
Neutral-atom scattering factors, no anomalous dispersion.

Structure:
```
Li4Tl2Ag3Hg2
1.0
4.6477 0.0000 0.0000
-2.3238 4.0250 0.0000
0.0000 0.0000 11.5910
Li Tl Ag Hg
4 2 3 2
direct
0.3333 0.6667 0.3314
0.3333 0.6667 0.8419
0.6667 0.3333 0.1581
0.6667 0.3333 0.6686
0.3333 0.6667 0.5825
0.6667 0.3333 0.4175
0.0000 0.0000 0.0000
0.0000 0.0000 0.2542
0.0000 0.0000 0.7458
0.3333 0.6667 0.1011
0.6667 0.3333 0.8989
```

The 10 most intense peaks (2θ from 5° to 70°), low angle first:
2theta  d/Å  I_rel
27.0  3.306  100
32.1  2.787  6
38.3  2.352  56
38.7  2.324  58
47.8  1.901  22
55.6  1.653  19
62.5  1.486  14
63.2  1.471  19
68.9  1.363  9
69.8  1.347  22



Entry 3:
# Li3Zn3Ag2Hg
Theoretical powder diffractogram, copper Kα. Input: DFT lattice parameters and positions (PBE).
Neutral-atom scattering factors, no anomalous dispersion.

Structure:
```
Li3Zn3Ag2Hg
1.0
7.7523 0.0000 0.0000
-3.8761 6.7137 0.0000
0.0000 0.0000 2.8344
Li Zn Ag Hg
3 3 2 1
direct
0.0000 0.3100 0.0000
0.3100 0.0000 0.0000
0.6900 0.6900 0.0000
0.0000 0.6333 0.5000
0.3667 0.3667 0.5000
0.6333 0.0000 0.5000
0.3333 0.6667 0.0000
0.6667 0.3333 0.0000
0.0000 0.0000 0.5000
```

The 10 most intense peaks (2θ from 5° to 70°), low angle first:
2theta  d/Å  I_rel
22.9  3.876  100
34.3  2.611  47
39.4  2.288  20
40.3  2.238  72
41.7  2.166  46
46.9  1.938  16
48.1  1.891  46
59.4  1.556  16
63.5  1.465  12
69.5  1.353  23



Entry 4:
# Mg3Ag7Hg2
Theoretical powder diffractogram, copper Kα. Input: DFT lattice parameters and positions (PBE).
Neutral-atom scattering factors, no anomalous dispersion.

Structure:
```
Mg3Ag7Hg2
1.0
5.1609 0.0000 0.0000
-0.0119 6.0518 0.0000
-0.0517 -3.0227 7.2243
Mg Ag Hg
3 7 2
direct
0.0000 0.0000 0.0000
0.3273 0.6714 0.3425
0.6727 0.3286 0.6575
0.0000 0.5000 0.0000
0.1651 0.0832 0.6656
0.1653 0.5841 0.6658
0.3279 0.1698 0.3404
0.6721 0.8302 0.6596
0.8347 0.4159 0.3342
0.8349 0.9168 0.3344
0.4983 0.2511 0.0013
0.5017 0.7489 0.9987
```

The 10 most intense peaks (2θ from 5° to 70°), low angle first:
2theta  d/Å  I_rel
21.1  4.215  23
23.6  3.772  20
29.5  3.026  10
36.6  2.458  100
37.1  2.424  48
37.3  2.408  47
42.8  2.112  64
42.9  2.108  31
61.3  1.513  11
62.4  1.487  10